No. 1
Simulated PXRD pattern
Compound: Li4Fe3TeO8
Radiation: CuKα
Structure: a crystal structure in the Materials Project, relaxed with GGA+U
Peak positions follow from Bragg's law for the DFT cell and can differ from measured ones.

Peak list (12 most intense, 2θ from 15° to 90°, low angle first)
2θ/deg, I (rel.), h k l
19.5, 96, 0 1 -1
20.4, 50, 0 1 1
22.2, 79, 1 0 -1
22.4, 100, 1 0 1
29.8, 44, 0 2 0
30.1, 36, 0 1 -2
31.4, 59, 0 1 2
32.2, 35, 0 2 -1
35.2, 66, 1 -1 2
36.0, 77, 2 0 0
52.3, 31, 0 3 -2
54.8, 26, 0 3 2

Cell and atoms:
Unit cell a=4.992 b=5.995 c=6.649 alpha=92.78 beta=90.48 gamma=90.67
Space group P1 (No. 1)
Asymmetric unit:
1 Li 0.000 0.000 0.000 [1 per cell]
2 Li 0.004 0.507 0.762 [1 per cell]
3 Li 0.470 0.183 0.232 [1 per cell]
4 Li 0.481 0.636 0.511 [1 per cell]
5 Fe 0.007 0.511 0.246 [1 per cell]
6 Fe 0.463 0.183 0.775 [1 per cell]
7 Fe 0.499 0.679 0.001 [1 per cell]
8 Te 0.931 0.002 0.490 [1 per cell]
9 O 0.316 0.018 0.497 [1 per cell]
10 O 0.390 0.516 0.234 [1 per cell]
11 O 0.397 0.982 0.997 [1 per cell]
12 O 0.403 0.508 0.765 [1 per cell]
13 O 0.887 0.675 0.023 [1 per cell]
14 O 0.899 0.166 0.751 [1 per cell]
15 O 0.904 0.206 0.242 [1 per cell]
16 O 0.919 0.647 0.504 [1 per cell]

No. 2
Simulated PXRD pattern
Compound: Li2Fe3TeO8
Radiation: CuKα
Structure: a crystal structure in the Materials Project, relaxed with GGA+U
Peak positions follow from Bragg's law for the DFT cell and can differ from measured ones.

Peak list (12 most intense, 2θ from 15° to 90°, low angle first)
2θ/deg, I (rel.), h k l
17.8, 100, 0 0 2
18.0, 46, 1 -1 1
34.0, 19, -1 2 1
34.3, 14, 2 0 0
34.4, 15, 1 1 -3
34.6, 17, 2 -2 0
36.1, 13, 0 0 4
41.5, 23, 2 0 2
41.9, 46, 0 2 -4
46.0, 10, 1 -1 5
59.7, 14, 2 2 -2
61.2, 14, 4 -2 0

Cell and atoms:
Unit cell a=6.063 b=6.140 c=10.507 alpha=106.15 beta=90.17 gamma=118.91
Space group P1 (No. 1)
Asymmetric unit:
1 Li 0.000 0.000 0.000 [1 per cell]
2 Li 0.071 0.160 0.348 [1 per cell]
3 Li 0.497 0.998 0.492 [1 per cell]
4 Li 0.578 0.167 0.860 [1 per cell]
5 Fe 0.035 0.579 0.175 [1 per cell]
6 Fe 0.037 0.583 0.676 [1 per cell]
7 Fe 0.289 0.585 0.931 [1 per cell]
8 Fe 0.540 0.582 0.177 [1 per cell]
9 Fe 0.540 0.587 0.675 [1 per cell]
10 Fe 0.787 0.581 0.423 [1 per cell]
11 Te 0.040 0.085 0.678 [1 per cell]
12 Te 0.536 0.082 0.174 [1 per cell]
13 O 0.151 0.853 0.569 [1 per cell]
14 O 0.158 0.324 0.567 [1 per cell]
15 O 0.199 0.387 0.055 [1 per cell]
16 O 0.202 0.847 0.054 [1 per cell]
17 O 0.381 0.323 0.790 [1 per cell]
18 O 0.382 0.769 0.788 [1 per cell]
19 O 0.418 0.309 0.283 [1 per cell]
20 O 0.423 0.845 0.284 [1 per cell]
21 O 0.638 0.836 0.056 [1 per cell]
22 O 0.646 0.312 0.062 [1 per cell]
23 O 0.695 0.395 0.570 [1 per cell]
24 O 0.698 0.857 0.571 [1 per cell]
25 O 0.869 0.302 0.286 [1 per cell]
26 O 0.872 0.776 0.288 [1 per cell]
27 O 0.920 0.846 0.788 [1 per cell]
28 O 0.938 0.327 0.792 [1 per cell]

No. 3
Simulated PXRD pattern
Compound: Li4FeTe3O12
Radiation: CuKα
Structure: a crystal structure in the Materials Project, relaxed with GGA+U
Peak positions follow from Bragg's law for the DFT cell and can differ from measured ones.

Peak list (12 most intense, 2θ from 15° to 90°, low angle first)
2θ/deg, I (rel.), h k l
19.9, 41, 0 1 1
20.4, 100, 1 1 0
32.0, 34, 1 2 -1
32.4, 34, 1 2 1
34.3, 11, 0 0 2
35.6, 23, 0 3 1
39.9, 12, 1 1 -2
40.5, 12, 1 1 2
49.8, 9, 2 0 -2
51.0, 14, 2 3 -1
51.4, 14, 2 3 1
62.3, 10, 0 3 3

Cell and atoms:
Unit cell a=5.048 b=8.638 c=5.228 alpha=90.00 beta=91.04 gamma=90.00
Space group P2 (No. 3)
Asymmetric unit:
1 Li 0.000 0.000 0.000 [1 per cell]
2 Li 0.000 0.330 0.500 [1 per cell]
3 Li 0.500 0.466 0.500 [1 per cell]
4 Li 0.500 0.879 0.000 [1 per cell]
5 Fe 0.500 0.075 0.500 [1 per cell]
6 Te 0.000 0.571 0.000 [1 per cell]
7 Te 0.000 0.777 0.500 [1 per cell]
8 Te 0.500 0.253 0.000 [1 per cell]
9 O 0.206 0.601 0.338 [2 per cell]
10 O 0.207 0.750 0.823 [2 per cell]
11 O 0.235 0.922 0.345 [2 per cell]
12 O 0.265 0.414 0.834 [2 per cell]
13 O 0.299 0.090 0.828 [2 per cell]
14 O 0.301 0.257 0.310 [2 per cell]

No. 4
Simulated PXRD pattern
Compound: Li2Fe3TeO8
Radiation: CuKα
Structure: a crystal structure in the Materials Project, relaxed with GGA+U
Peak positions follow from Bragg's law for the DFT cell and can differ from measured ones.

Peak list (12 most intense, 2θ from 15° to 90°, low angle first)
2θ/deg, I (rel.), h k l
17.6, 59, 0 1 0
18.0, 100, 1 1 1
33.8, 21, 1 0 2
34.0, 16, 1 2 0
34.3, 10, 0 1 2
34.6, 17, 2 1 0
34.7, 18, -1 1 1
36.4, 13, 2 2 2
41.5, 25, 2 0 2
41.6, 25, 2 2 0
42.1, 25, 0 2 2
60.4, 15, 2 2 4

Cell and atoms:
Unit cell a=6.036 b=6.074 c=6.135 alpha=61.72 beta=60.55 gamma=60.40
Space group P-1 (No. 2)
Asymmetric unit:
1 Li 0.135 0.148 0.082 [2 per cell]
2 Fe 0.000 0.500 0.500 [1 per cell]
3 Fe 0.500 0.000 0.500 [1 per cell]
4 Fe 0.500 0.500 0.500 [1 per cell]
5 Te 0.500 0.500 0.000 [1 per cell]
6 O 0.261 0.286 0.690 [2 per cell]
7 O 0.268 0.282 0.230 [2 per cell]
8 O 0.268 0.721 0.243 [2 per cell]
9 O 0.281 0.719 0.768 [2 per cell]

No. 5
Simulated PXRD pattern
Compound: Li2Fe3TeO8
Radiation: CuKα
Structure: a crystal structure in the Materials Project, relaxed with GGA+U
Peak positions follow from Bragg's law for the DFT cell and can differ from measured ones.

Peak list (12 most intense, 2θ from 15° to 90°, low angle first)
2θ/deg, I (rel.), h k l
19.2, 100, 1 0 1
24.8, 33, 1 0 2
32.1, 37, 1 0 3
34.9, 51, 1 1 2
35.6, 31, 2 0 1
39.0, 15, 2 0 2
44.3, 31, 2 0 3
50.9, 14, 2 0 4
54.2, 20, 2 1 3
56.0, 13, 3 0 2
58.6, 28, 2 0 5
61.5, 24, 2 2 0

Cell and atoms:
Unit cell a=6.0280 b=6.0280 c=9.8886 alpha=90.00 beta=90.00 gamma=120.00
Space group P6_3mc (No. 186)
Asymmetric unit:
1 Li 0.0000 0.0000 0.0000 [2 per cell]
2 Li 0.3333 0.6667 0.4205 [2 per cell]
3 Fe 0.1693 0.3385 0.7250 [6 per cell]
4 Te 0.3333 0.6667 0.9969 [2 per cell]
5 O 0.0000 0.0000 0.3154 [2 per cell]
6 O 0.0359 0.5179 0.8572 [6 per cell]
7 O 0.1640 0.3280 0.1073 [6 per cell]
8 O 0.3333 0.6667 0.6213 [2 per cell]

No. 6
Simulated PXRD pattern
Compound: Li2FeTeO6
Radiation: CuKα
Structure: a crystal structure in the Materials Project, relaxed with GGA+U
Peak positions follow from Bragg's law for the DFT cell and can differ from measured ones.

Peak list (12 most intense, 2θ from 15° to 90°, low angle first)
2θ/deg, I (rel.), h k l
19.6, 10, 0 1 -1
23.6, 52, 0 0 2
24.1, 100, 1 -1 0
32.9, 20, 1 1 -2
33.4, 37, 0 2 0
34.5, 12, -1 1 2
35.1, 11, 1 1 2
35.3, 11, 2 0 0
40.3, 14, -1 2 1
48.3, 10, 0 0 4
49.2, 9, 2 -2 0
54.4, 14, 1 3 0

Cell and atoms:
Unit cell a=5.093 b=5.381 c=7.564 alpha=94.03 beta=91.02 gamma=90.14
Space group P1 (No. 1)
Asymmetric unit:
1 Li 0.000 0.000 0.000 [1 per cell]
2 Li 0.005 0.012 0.490 [1 per cell]
3 Li 0.499 0.499 0.500 [1 per cell]
4 Li 0.506 0.511 0.990 [1 per cell]
5 Fe 0.004 0.581 0.211 [1 per cell]
6 Fe 0.505 0.081 0.710 [1 per cell]
7 Te 0.003 0.583 0.707 [1 per cell]
8 Te 0.502 0.084 0.208 [1 per cell]
9 O 0.134 0.609 0.947 [1 per cell]
10 O 0.178 0.915 0.257 [1 per cell]
11 O 0.195 0.285 0.632 [1 per cell]
12 O 0.300 0.786 0.627 [1 per cell]
13 O 0.328 0.408 0.260 [1 per cell]
14 O 0.379 0.106 0.963 [1 per cell]
15 O 0.633 0.109 0.447 [1 per cell]
16 O 0.679 0.415 0.757 [1 per cell]
17 O 0.695 0.786 0.132 [1 per cell]
18 O 0.800 0.286 0.129 [1 per cell]
19 O 0.828 0.908 0.760 [1 per cell]
20 O 0.879 0.606 0.463 [1 per cell]